Record 1
# CdH12C4I2N4O4
Computed PXRD pattern, λ = 1.5418 Å (Cu Kα). Input: a DFT-relaxed cell (PBE, OQMD).

Main lines, in order of rising 2θ (2θ from 10° to 80°):
two_theta  intensity  (hkl)
13.42  100  1 1 1
15.63  63  2 2 0
21.85  39  1 5 1
26.04  60  2 0 2
28.14  28  4 0 0
29.71  39  2 4 2
30.58  70  0 6 2
41.38  25  1 11 1

Structure:
a = 12.688 Å, b = 25.306 Å, c = 8.109 Å
α = 90.00°, β = 90.00°, γ = 90.00°
Space group Fdd2 (No. 43)
One atom of each set of equivalent atoms:
Cd 0.000 0.000 0.000 (multiplicity 8)
H 0.022 0.276 0.416 (multiplicity 16)
H 0.028 0.114 0.512 (multiplicity 16)
H 0.051 0.121 0.879 (multiplicity 16)
H 0.078 0.165 0.632 (multiplicity 16)
H 0.095 0.483 0.114 (multiplicity 16)
H 0.116 0.017 0.426 (multiplicity 16)
C 0.001 0.243 0.799 (multiplicity 16)
C 0.027 0.102 0.762 (multiplicity 16)
I 0.036 0.088 0.212 (multiplicity 16)
N 0.038 0.130 0.627 (multiplicity 16)
N 0.105 0.246 0.774 (multiplicity 16)
O 0.008 0.445 0.263 (multiplicity 16)
O 0.066 0.241 0.199 (multiplicity 16)

---

Record 2
# K2ZrCdH16C8O24
Computed PXRD pattern, λ = 1.5418 Å (Cu Kα). Input: a DFT-relaxed cell (PBE, OQMD).

Main lines, in order of rising 2θ (2θ from 10° to 80°):
two_theta  intensity  (hkl)
12.96  85  1 0 1
15.88  100  2 0 0
23.49  50  1 1 2
26.08  58  3 0 1
32.08  44  4 0 0
32.77  43  1 3 2
40.14  35  3 3 2
46.51  39  5 1 2

Structure:
a = 11.163 Å, b = 11.163 Å, c = 8.633 Å
α = 90.00°, β = 90.00°, γ = 90.00°
Space group I-4 (No. 82)
One atom of each set of equivalent atoms:
K 0.000 0.000 0.000 (multiplicity 2)
K 0.000 0.500 0.250 (multiplicity 2)
Zr 0.000 0.000 0.500 (multiplicity 2)
Cd 0.000 0.500 0.750 (multiplicity 2)
H 0.091 0.254 0.984 (multiplicity 8)
H 0.092 0.757 0.265 (multiplicity 8)
H 0.172 0.752 0.114 (multiplicity 8)
H 0.173 0.250 0.134 (multiplicity 8)
C 0.001 0.224 0.705 (multiplicity 8)
C 0.006 0.728 0.539 (multiplicity 8)
O 0.001 0.296 0.817 (multiplicity 8)
O 0.003 0.811 0.434 (multiplicity 8)
O 0.006 0.110 0.715 (multiplicity 8)
O 0.015 0.620 0.516 (multiplicity 8)
O 0.151 0.205 0.039 (multiplicity 8)
O 0.152 0.708 0.212 (multiplicity 8)